1.
Calculated X-ray diffraction stick pattern of HgSbSe2 for Cu Ka, from a structure optimized by DFT (GGA-PBE).
Neutral-atom scattering factors, no anomalous dispersion.

The 12 most intense peaks (10° ≤ 2θ ≤ 90°), in order of falling intensity:
Position (°2θ), I_rel, index
28.8, 100, 1 1 1
43.4, 48, 0 2 0
31.6, 40, 2 0 -2
43.1, 35, 1 1 -3
38.8, 20, 2 0 2
24.7, 18, 0 0 2
54.6, 17, 2 2 -2
26.5, 14, 1 1 -1
59.6, 13, 2 2 2
50.6, 13, 0 0 4
24.9, 10, 2 0 0
68.8, 8, 0 2 4

Structural model:
```
data_HgSbSe2
_chemical_formula_sum 'Hg2 Sb2 Se4'
_symmetry_space_group_name_H-M 'C 1 2/m 1'
_symmetry_Int_Tables_number 12
_symmetry_space_group_name_Hall '-C 2y'
_cell_length_a 7.282
_cell_length_b 4.173
_cell_length_c 7.360
_cell_angle_alpha 90.00
_cell_angle_beta 101.27
_cell_angle_gamma 90.00
loop_
_atom_site_label
_atom_site_type_symbol
_atom_site_fract_x
_atom_site_fract_y
_atom_site_fract_z
Hg1 Hg 0.000 0.000 0.000
Sb1 Sb 0.000 0.500 0.500
Se1 Se 0.213 0.000 0.728
```

=====

2.
Calculated X-ray diffraction stick pattern of HgSbSe2 for Cu Ka, from a structure optimized by DFT (GGA-PBE).
Neutral-atom scattering factors, no anomalous dispersion.

The 12 most intense peaks (10° ≤ 2θ ≤ 90°), in order of falling intensity:
Position (°2θ), I_rel, index
29.4, 100, 1 0 4
36.7, 38, 0 1 8
46.9, 31, 1 1 0
18.6, 24, 0 0 6
41.4, 20, 1 0 10
27.3, 17, 0 1 2
52.4, 16, 0 1 14
56.3, 16, 0 2 4
30.9, 16, 0 1 5
77.6, 14, 1 1 18
76.2, 13, 2 1 4
50.9, 11, 1 1 6

Structural model:
```
data_HgSbSe2
_chemical_formula_sum 'Hg3 Sb3 Se6'
_symmetry_space_group_name_H-M 'R -3 m'
_symmetry_Int_Tables_number 166
_symmetry_space_group_name_Hall '-R 3 2"'
_cell_length_a 3.8743
_cell_length_b 3.8743
_cell_length_c 28.6595
_cell_angle_alpha 90.00
_cell_angle_beta 90.00
_cell_angle_gamma 120.00
loop_
_atom_site_label
_atom_site_type_symbol
_atom_site_fract_x
_atom_site_fract_y
_atom_site_fract_z
Hg1 Hg 0.0000 0.0000 0.0000
Sb1 Sb 0.0000 0.0000 0.5000
Se1 Se 0.0000 0.0000 0.2255
```

=====

3.
Calculated X-ray diffraction stick pattern of Sm4HgSb3 for Cu Ka, from a structure optimized by DFT (GGA-PBE).
Neutral-atom scattering factors, no anomalous dispersion.

The 12 most intense peaks (10° ≤ 2θ ≤ 90°), in order of falling intensity:
Position (°2θ), I_rel, index
28.3, 100, 2 0 0
40.4, 77, 2 2 0
66.2, 36, 4 2 0
50.1, 28, 2 2 2
73.5, 26, 4 2 2
58.5, 13, 4 0 0
87.4, 9, 4 4 0
14.0, 2, 1 0 0
19.9, 2, 1 1 0
31.7, 1, 2 1 0
34.8, 1, 2 1 1
43.0, 1, 3 0 0

Structural model:
```
data_Sm4HgSb3
_chemical_formula_sum 'Sm4 Hg1 Sb3'
_symmetry_space_group_name_H-M 'P m -3 m'
_symmetry_Int_Tables_number 221
_symmetry_space_group_name_Hall '-P 4 2 3'
_cell_length_a 6.311
_cell_length_b 6.311
_cell_length_c 6.311
_cell_angle_alpha 90.00
_cell_angle_beta 90.00
_cell_angle_gamma 90.00
loop_
_atom_site_label
_atom_site_type_symbol
_atom_site_fract_x
_atom_site_fract_y
_atom_site_fract_z
Sm1 Sm 0.000 0.000 0.000
Sm2 Sm 0.000 0.500 0.500
Hg1 Hg 0.500 0.500 0.500
Sb1 Sb 0.000 0.000 0.500
```

=====

4.
Calculated X-ray diffraction stick pattern of Sn5HgSb4 for Cu Ka, from a structure optimized by DFT (GGA-PBE).
Neutral-atom scattering factors, no anomalous dispersion.

The 12 most intense peaks (10° ≤ 2θ ≤ 90°), in order of falling intensity:
Position (°2θ), I_rel, index
36.5, 100, 2 2 2
21.8, 40, 2 0 1
34.7, 34, 4 0 0
33.7, 31, 0 4 0
63.4, 30, 6 2 2
28.6, 26, 0 3 1
15.8, 26, 0 1 1
45.6, 26, 4 3 1
23.4, 22, 2 1 1
49.2, 22, 4 4 0
21.5, 21, 0 2 1
62.1, 16, 2 6 2

Structural model:
```
data_Sn5HgSb4
_chemical_formula_sum 'Sn10 Hg2 Sb8'
_symmetry_space_group_name_H-M 'P m m n'
_symmetry_Int_Tables_number 59
_cell_length_a 10.337
_cell_length_b 10.633
_cell_length_c 6.596
_cell_angle_alpha 90.00
_cell_angle_beta 90.00
_cell_angle_gamma 90.00
loop_
_symmetry_equiv_pos_as_xyz
'x,y,z'
'-x,-y,-z'
'-x+1/2,-y+1/2,z'
'x+1/2,y+1/2,-z'
'x+1/2,-y,-z'
'-x+1/2,y,z'
'-x,y+1/2,-z'
'x,-y+1/2,z'
loop_
_atom_site_label
_atom_site_type_symbol
_atom_site_fract_x
_atom_site_fract_y
_atom_site_fract_z
Sn1 Sn 0.006 0.026 0.246
Sn2 Sn 0.250 0.250 0.711
Hg1 Hg 0.250 0.750 0.281
Sb1 Sb 0.000 0.250 0.950
Sb2 Sb 0.250 0.506 0.514
```

=====

5.
Calculated X-ray diffraction stick pattern of Sn5HgSb4 for Cu Ka, from a structure optimized by DFT (GGA-PBE).
Neutral-atom scattering factors, no anomalous dispersion.

The 12 most intense peaks (10° ≤ 2θ ≤ 90°), in order of falling intensity:
Position (°2θ), I_rel, index
28.9, 100, 1 1 0
41.4, 77, 2 0 0
67.9, 36, 3 1 0
51.2, 28, 2 0 10
75.4, 27, 3 1 10
59.9, 13, 2 2 0
89.8, 9, 4 0 0
20.5, 1, 1 0 1
28.8, 1, 1 0 7
11.5, 1, 0 0 4
25.0, 1, 1 0 5
22.1, 1, 1 0 3

Structural model:
```
data_Sn5HgSb4
_chemical_formula_sum 'Sn10 Hg2 Sb8'
_symmetry_space_group_name_H-M 'I 4/m m m'
_symmetry_Int_Tables_number 139
_symmetry_space_group_name_Hall '-I 4 2'
_cell_length_a 4.367
_cell_length_b 4.367
_cell_length_c 30.876
_cell_angle_alpha 90.00
_cell_angle_beta 90.00
_cell_angle_gamma 90.00
loop_
_atom_site_label
_atom_site_type_symbol
_atom_site_fract_x
_atom_site_fract_y
_atom_site_fract_z
Sn1 Sn 0.000 0.000 0.000
Sn2 Sn 0.000 0.000 0.200
Sn3 Sn 0.000 0.000 0.398
Hg1 Hg 0.000 0.000 0.500
Sb1 Sb 0.000 0.000 0.099
Sb2 Sb 0.000 0.000 0.300
```

=====

6.
Calculated X-ray diffraction stick pattern of Sr4Hg5Sb6 for Cu Ka, from a structure optimized by DFT (GGA-PBE).
Neutral-atom scattering factors, no anomalous dispersion.

The 12 most intense peaks (10° ≤ 2θ ≤ 90°), in order of falling intensity:
Position (°2θ), I_rel, index
31.1, 100, 1 5 3
37.6, 64, 2 0 0
24.2, 53, 1 1 3
27.6, 30, 1 1 4
31.6, 30, 0 8 0
25.5, 30, 0 4 4
33.9, 29, 1 5 4
36.8, 27, 1 7 3
40.6, 23, 1 9 0
19.6, 22, 1 1 1
21.7, 22, 0 4 3
38.8, 20, 0 4 7

Structural model:
```
data_Sr4Hg5Sb6
_chemical_formula_sum 'Sr16 Hg20 Sb24'
_symmetry_space_group_name_H-M 'C m c 21'
_symmetry_Int_Tables_number 36
_symmetry_space_group_name_Hall 'C 2c -2'
_cell_length_a 4.780
_cell_length_b 22.614
_cell_length_c 17.824
_cell_angle_alpha 90.00
_cell_angle_beta 90.00
_cell_angle_gamma 90.00
loop_
_atom_site_label
_atom_site_type_symbol
_atom_site_fract_x
_atom_site_fract_y
_atom_site_fract_z
Sr1 Sr 0.000 0.015 0.000
Sr2 Sr 0.000 0.044 0.275
Sr3 Sr 0.000 0.161 0.797
Sr4 Sr 0.000 0.170 0.466
Hg1 Hg 0.000 0.140 0.130
Hg2 Hg 0.000 0.316 0.824
Hg3 Hg 0.000 0.317 0.128
Hg4 Hg 0.000 0.317 0.430
Hg5 Hg 0.000 0.449 0.208
Sb1 Sb 0.000 0.100 0.628
Sb2 Sb 0.000 0.225 0.009
Sb3 Sb 0.000 0.228 0.254
Sb4 Sb 0.000 0.424 0.906
Sb5 Sb 0.000 0.437 0.371
Sb6 Sb 0.000 0.439 0.628
```

=====

7.
Calculated X-ray diffraction stick pattern of Sr3HgSb for Cu Ka, from a structure optimized by DFT (GGA-PBE).
Neutral-atom scattering factors, no anomalous dispersion.

The 12 most intense peaks (10° ≤ 2θ ≤ 90°), in order of falling intensity:
Position (°2θ), I_rel, index
31.2, 100, 1 2 2
33.3, 60, 3 0 2
29.4, 57, 0 2 2
33.7, 51, 1 0 -4
34.1, 46, 3 1 -2
27.5, 41, 1 2 1
23.3, 40, 2 1 -1
18.5, 39, 2 0 0
30.8, 38, 2 2 0
34.5, 37, 2 2 -2
19.2, 33, 1 0 2
30.6, 30, 1 2 -2

Structural model:
```
data_Sr3HgSb
_chemical_formula_sum 'Sr12 Hg4 Sb4'
_symmetry_space_group_name_H-M 'P 1 21/c 1'
_symmetry_Int_Tables_number 14
_symmetry_space_group_name_Hall '-P 2ybc'
_cell_length_a 9.582
_cell_length_b 7.311
_cell_length_c 10.918
_cell_angle_alpha 90.00
_cell_angle_beta 93.18
_cell_angle_gamma 90.00
loop_
_atom_site_label
_atom_site_type_symbol
_atom_site_fract_x
_atom_site_fract_y
_atom_site_fract_z
Sr1 Sr 0.102 0.022 0.262
Sr2 Sr 0.286 0.076 0.591
Sr3 Sr 0.357 0.632 0.408
Hg1 Hg 0.031 0.715 0.500
Sb1 Sb 0.433 0.189 0.338
```

=====

8.
Calculated X-ray diffraction stick pattern of Sr3HgSb2 for Cu Ka, from a structure optimized by DFT (GGA-PBE).
Neutral-atom scattering factors, no anomalous dispersion.

The 12 most intense peaks (10° ≤ 2θ ≤ 90°), in order of falling intensity:
Position (°2θ), I_rel, index
30.5, 100, 3 1 2
26.4, 90, 2 1 2
36.8, 52, 0 2 0
35.6, 49, 4 1 2
27.4, 48, 1 0 4
33.6, 36, 4 1 1
38.5, 35, 3 1 4
15.0, 33, 2 0 1
14.8, 27, 1 0 2
21.0, 24, 1 0 3
46.6, 23, 1 2 4
56.5, 18, 6 2 0

Structural model:
```
data_Sr3HgSb2
_chemical_formula_sum 'Sr12 Hg4 Sb8'
_symmetry_space_group_name_H-M 'P n m a'
_symmetry_Int_Tables_number 62
_symmetry_space_group_name_Hall '-P 2ac 2n'
_cell_length_a 13.139
_cell_length_b 4.879
_cell_length_c 13.415
_cell_angle_alpha 90.00
_cell_angle_beta 90.00
_cell_angle_gamma 90.00
loop_
_atom_site_label
_atom_site_type_symbol
_atom_site_fract_x
_atom_site_fract_y
_atom_site_fract_z
Sr1 Sr 0.054 0.250 0.115
Sr2 Sr 0.128 0.750 0.555
Sr3 Sr 0.197 0.250 0.807
Hg1 Hg 0.160 0.250 0.317
Sb1 Sb 0.013 0.750 0.327
Sb2 Sb 0.185 0.750 0.999
```

=====

Copy entry 2 word for word.
Calculated X-ray diffraction stick pattern of HgSbSe2 for Cu Ka, from a structure optimized by DFT (GGA-PBE).
Neutral-atom scattering factors, no anomalous dispersion.

The 12 most intense peaks (10° ≤ 2θ ≤ 90°), in order of falling intensity:
Position (°2θ), I_rel, index
29.4, 100, 1 0 4
36.7, 38, 0 1 8
46.9, 31, 1 1 0
18.6, 24, 0 0 6
41.4, 20, 1 0 10
27.3, 17, 0 1 2
52.4, 16, 0 1 14
56.3, 16, 0 2 4
30.9, 16, 0 1 5
77.6, 14, 1 1 18
76.2, 13, 2 1 4
50.9, 11, 1 1 6

Structural model:
```
data_HgSbSe2
_chemical_formula_sum 'Hg3 Sb3 Se6'
_symmetry_space_group_name_H-M 'R -3 m'
_symmetry_Int_Tables_number 166
_symmetry_space_group_name_Hall '-R 3 2"'
_cell_length_a 3.8743
_cell_length_b 3.8743
_cell_length_c 28.6595
_cell_angle_alpha 90.00
_cell_angle_beta 90.00
_cell_angle_gamma 120.00
loop_
_atom_site_label
_atom_site_type_symbol
_atom_site_fract_x
_atom_site_fract_y
_atom_site_fract_z
Hg1 Hg 0.0000 0.0000 0.0000
Sb1 Sb 0.0000 0.0000 0.5000
Se1 Se 0.0000 0.0000 0.2255
```

=====

Copy entry 5 word for word.
Calculated X-ray diffraction stick pattern of Sn5HgSb4 for Cu Ka, from a structure optimized by DFT (GGA-PBE).
Neutral-atom scattering factors, no anomalous dispersion.

The 12 most intense peaks (10° ≤ 2θ ≤ 90°), in order of falling intensity:
Position (°2θ), I_rel, index
28.9, 100, 1 1 0
41.4, 77, 2 0 0
67.9, 36, 3 1 0
51.2, 28, 2 0 10
75.4, 27, 3 1 10
59.9, 13, 2 2 0
89.8, 9, 4 0 0
20.5, 1, 1 0 1
28.8, 1, 1 0 7
11.5, 1, 0 0 4
25.0, 1, 1 0 5
22.1, 1, 1 0 3

Structural model:
```
data_Sn5HgSb4
_chemical_formula_sum 'Sn10 Hg2 Sb8'
_symmetry_space_group_name_H-M 'I 4/m m m'
_symmetry_Int_Tables_number 139
_symmetry_space_group_name_Hall '-I 4 2'
_cell_length_a 4.367
_cell_length_b 4.367
_cell_length_c 30.876
_cell_angle_alpha 90.00
_cell_angle_beta 90.00
_cell_angle_gamma 90.00
loop_
_atom_site_label
_atom_site_type_symbol
_atom_site_fract_x
_atom_site_fract_y
_atom_site_fract_z
Sn1 Sn 0.000 0.000 0.000
Sn2 Sn 0.000 0.000 0.200
Sn3 Sn 0.000 0.000 0.398
Hg1 Hg 0.000 0.000 0.500
Sb1 Sb 0.000 0.000 0.099
Sb2 Sb 0.000 0.000 0.300
```

=====

What did the third record say?
Calculated X-ray diffraction stick pattern of Sm4HgSb3 for Cu Ka, from a structure optimized by DFT (GGA-PBE).
Neutral-atom scattering factors, no anomalous dispersion.

The 12 most intense peaks (10° ≤ 2θ ≤ 90°), in order of falling intensity:
Position (°2θ), I_rel, index
28.3, 100, 2 0 0
40.4, 77, 2 2 0
66.2, 36, 4 2 0
50.1, 28, 2 2 2
73.5, 26, 4 2 2
58.5, 13, 4 0 0
87.4, 9, 4 4 0
14.0, 2, 1 0 0
19.9, 2, 1 1 0
31.7, 1, 2 1 0
34.8, 1, 2 1 1
43.0, 1, 3 0 0

Structural model:
```
data_Sm4HgSb3
_chemical_formula_sum 'Sm4 Hg1 Sb3'
_symmetry_space_group_name_H-M 'P m -3 m'
_symmetry_Int_Tables_number 221
_symmetry_space_group_name_Hall '-P 4 2 3'
_cell_length_a 6.311
_cell_length_b 6.311
_cell_length_c 6.311
_cell_angle_alpha 90.00
_cell_angle_beta 90.00
_cell_angle_gamma 90.00
loop_
_atom_site_label
_atom_site_type_symbol
_atom_site_fract_x
_atom_site_fract_y
_atom_site_fract_z
Sm1 Sm 0.000 0.000 0.000
Sm2 Sm 0.000 0.500 0.500
Hg1 Hg 0.500 0.500 0.500
Sb1 Sb 0.000 0.000 0.500
```